[1]
Theoretical X-ray powder pattern of Li4Mn7O2F14 for a wavelength of 1.5418 Å, from a cell relaxed with PBE+U.
Lines closer than 0.1° are merged.

The 10 most intense peaks (2θ from 5° to 70°), low angle first:
5.214 Å, 17.0 deg, I 84; 4.984 Å, 17.8 deg, I 94; 2.735 Å, 32.7 deg, I 53; 2.703 Å, 33.1 deg, I 35; 2.234 Å, 40.4 deg, I 100; 2.228 Å, 40.5 deg, I 51; 1.696 Å, 54.1 deg, I 12; 1.606 Å, 57.4 deg, I 51; 1.555 Å, 59.4 deg, I 12; 1.550 Å, 59.7 deg, I 28

Structural model:
Cell: 6.206 6.206 11.136 Å, 107.19 107.19 62.31°
Element x y z (fractional)
Li  0.079  0.079  0.213
Li  0.420  0.420  0.297
Li  0.580  0.580  0.703
Li  0.921  0.921  0.787
Mn  0.000  0.000  0.500
Mn  0.000  0.500  0.000
Mn  0.000  0.500  0.500
Mn  0.271  0.271  0.761
Mn  0.500  0.000  0.000
Mn  0.500  0.000  0.500
Mn  0.729  0.729  0.239
O  0.138  0.138  0.409
O  0.862  0.862  0.591
F  0.102  0.620  0.870
F  0.104  0.627  0.361
F  0.134  0.134  0.874
F  0.359  0.359  0.113
F  0.373  0.896  0.639
F  0.380  0.898  0.130
F  0.385  0.385  0.638
F  0.615  0.615  0.362
F  0.620  0.102  0.870
F  0.627  0.104  0.361
F  0.641  0.641  0.887
F  0.866  0.866  0.126
F  0.896  0.373  0.639
F  0.898  0.380  0.130

[2]
Theoretical X-ray powder pattern of Li9Mn2Co5O16 for a wavelength of 1.5418 Å, from a cell relaxed with PBE+U.
Lines closer than 0.1° are merged.

The 10 most intense peaks (2θ from 5° to 70°), low angle first:
9.629 Å, 9.2 deg, I 10; 4.815 Å, 18.4 deg, I 100; 2.561 Å, 35.0 deg, I 16; 2.484 Å, 36.2 deg, I 27; 2.129 Å, 42.5 deg, I 30; 2.059 Å, 44.0 deg, I 56; 1.912 Å, 47.5 deg, I 10; 1.589 Å, 58.0 deg, I 9; 1.483 Å, 62.6 deg, I 16; 1.477 Å, 62.9 deg, I 16

Structural model:
Cell: 5.185 2.893 19.381 Å, 90.00 96.44 90.00°
Element x y z (fractional)
Li  0.000  0.000  0.000
Li  0.123  0.500  0.878
Li  0.127  0.000  0.372
Li  0.374  0.500  0.628
Li  0.377  0.000  0.121
Li  0.623  0.000  0.879
Li  0.626  0.500  0.372
Li  0.873  0.000  0.628
Li  0.877  0.500  0.122
Mn  0.000  0.500  0.500
Mn  0.500  0.000  0.500
Co  0.249  0.000  0.751
Co  0.251  0.500  0.249
Co  0.500  0.500  0.000
Co  0.749  0.500  0.751
Co  0.751  0.000  0.249
O  0.062  0.500  0.692
O  0.066  0.000  0.191
O  0.159  0.000  0.559
O  0.236  0.500  0.053
O  0.332  0.000  0.945
O  0.343  0.500  0.441
O  0.433  0.000  0.307
O  0.435  0.500  0.808
O  0.565  0.500  0.192
O  0.567  0.000  0.693
O  0.657  0.500  0.559
O  0.668  0.000  0.055
O  0.764  0.500  0.947
O  0.841  0.000  0.441
O  0.934  0.000  0.809
O  0.938  0.500  0.308

[3]
Theoretical X-ray powder pattern of Ta9Mn11O34 for a wavelength of 1.5418 Å, from a cell relaxed with PBE+U.
Lines closer than 0.1° are merged.

The 10 most intense peaks (2θ from 5° to 70°), low angle first:
8.390 Å, 10.5 deg, I 12; 2.936 Å, 30.4 deg, I 38; 2.876 Å, 31.1 deg, I 100; 2.815 Å, 31.8 deg, I 43; 2.513 Å, 35.7 deg, I 15; 2.479 Å, 36.2 deg, I 32; 1.793 Å, 50.9 deg, I 19; 1.753 Å, 52.2 deg, I 28; 1.737 Å, 52.7 deg, I 32; 1.489 Å, 62.4 deg, I 12

Structural model:
Cell: 3.476 3.476 58.778 Å, 91.97 91.97 60.61°
Element x y z (fractional)
Ta  0.000  0.000  0.000
Ta  0.036  0.036  0.645
Ta  0.203  0.203  0.791
Ta  0.506  0.506  0.738
Ta  0.601  0.601  0.896
Ta  0.650  0.650  0.398
Ta  0.726  0.726  0.549
Ta  0.820  0.820  0.683
Ta  0.906  0.906  0.843
Mn  0.013  0.013  0.493
Mn  0.103  0.103  0.146
Mn  0.181  0.181  0.288
Mn  0.314  0.314  0.952
Mn  0.329  0.329  0.446
Mn  0.406  0.406  0.098
Mn  0.408  0.408  0.590
Mn  0.498  0.498  0.240
Mn  0.705  0.705  0.051
Mn  0.802  0.802  0.193
Mn  0.811  0.811  0.335
O  0.016  0.016  0.035
O  0.044  0.044  0.529
O  0.082  0.082  0.110
O  0.125  0.125  0.181
O  0.154  0.154  0.678
O  0.169  0.169  0.251
O  0.183  0.183  0.755
O  0.186  0.186  0.333
O  0.229  0.229  0.828
O  0.267  0.267  0.899
O  0.332  0.332  0.990
O  0.344  0.344  0.482
O  0.388  0.388  0.063
O  0.428  0.428  0.133
O  0.432  0.432  0.626
O  0.479  0.479  0.205
O  0.489  0.489  0.704
O  0.510  0.510  0.276
O  0.533  0.533  0.780
O  0.573  0.573  0.851
O  0.616  0.616  0.927
O  0.662  0.662  0.435
O  0.673  0.673  0.009
O  0.673  0.673  0.367
O  0.732  0.732  0.088
O  0.741  0.741  0.582
O  0.779  0.779  0.157
O  0.824  0.824  0.228
O  0.839  0.839  0.732
O  0.843  0.843  0.303
O  0.877  0.877  0.804
O  0.924  0.924  0.878
O  0.983  0.983  0.964
O  0.987  0.987  0.400

[4]
Theoretical X-ray powder pattern of CaPrNi2O6 for a wavelength of 1.5418 Å, from a cell relaxed with PBE+U.
Lines closer than 0.1° are merged.

The 10 most intense peaks (2θ from 5° to 70°), low angle first:
4.415 Å, 20.1 deg, I 42; 2.712 Å, 33.0 deg, I 48; 2.700 Å, 33.2 deg, I 100; 2.311 Å, 39.0 deg, I 17; 2.207 Å, 40.9 deg, I 10; 1.917 Å, 47.4 deg, I 30; 1.901 Å, 47.9 deg, I 16; 1.563 Å, 59.1 deg, I 37; 1.556 Å, 59.4 deg, I 20; 1.350 Å, 69.7 deg, I 15

Structural model:
Cell: 7.602 5.426 5.420 Å, 90.00 90.00 90.00°
Element x y z (fractional)
Ca  0.000  0.205  0.000
Ca  0.500  0.795  0.500
Pr  0.000  0.712  0.518
Pr  0.500  0.288  0.018
Ni  0.250  0.249  0.510
Ni  0.250  0.751  0.010
Ni  0.750  0.249  0.510
Ni  0.750  0.751  0.010
O  0.000  0.262  0.431
O  0.000  0.765  0.080
O  0.208  0.465  0.795
O  0.213  0.968  0.727
O  0.287  0.032  0.227
O  0.292  0.535  0.295
O  0.500  0.235  0.580
O  0.500  0.738  0.931
O  0.708  0.535  0.295
O  0.713  0.032  0.227
O  0.787  0.968  0.727
O  0.792  0.465  0.795

[5]
Theoretical X-ray powder pattern of Li9Mn2Co5O16 for a wavelength of 1.5418 Å, from a cell relaxed with PBE+U.
Lines closer than 0.1° are merged.

The 10 most intense peaks (2θ from 5° to 70°), low angle first:
9.532 Å, 9.3 deg, I 10; 4.832 Å, 18.4 deg, I 100; 2.582 Å, 34.7 deg, I 18; 2.474 Å, 36.3 deg, I 13; 2.446 Å, 36.7 deg, I 11; 2.163 Å, 41.8 deg, I 32; 2.054 Å, 44.1 deg, I 27; 2.025 Å, 44.8 deg, I 25; 1.489 Å, 62.3 deg, I 16; 1.430 Å, 65.2 deg, I 9

Structural model:
Cell: 2.984 5.063 19.105 Å, 92.61 92.65 91.27°
Element x y z (fractional)
Li  0.000  0.000  0.000
Li  0.001  0.244  0.745
Li  0.489  0.133  0.876
Li  0.495  0.626  0.376
Li  0.498  0.878  0.125
Li  0.509  0.358  0.623
Li  0.985  0.893  0.626
Li  0.989  0.506  0.499
Li  0.995  0.752  0.251
Mn  0.005  0.378  0.125
Mn  0.502  0.756  0.746
Co  0.005  0.620  0.874
Co  0.487  0.251  0.251
Co  0.495  0.002  0.504
Co  0.498  0.503  0.998
Co  0.990  0.121  0.375
O  0.012  0.671  0.061
O  0.021  0.903  0.808
O  0.024  0.084  0.189
O  0.032  0.834  0.437
O  0.463  0.795  0.935
O  0.468  0.545  0.190
O  0.484  0.961  0.312
O  0.491  0.049  0.693
O  0.497  0.723  0.554
O  0.502  0.281  0.438
O  0.535  0.463  0.814
O  0.541  0.206  0.060
O  0.954  0.418  0.313
O  0.969  0.183  0.557
O  0.984  0.590  0.695
O  0.987  0.334  0.936

[6]
Theoretical X-ray powder pattern of SrFeMoO5 for a wavelength of 1.5418 Å, from a cell relaxed with PBE+U.
Lines closer than 0.1° are merged.

The 10 most intense peaks (2θ from 5° to 70°), low angle first:
3.581 Å, 24.9 deg, I 100; 3.369 Å, 26.5 deg, I 75; 2.894 Å, 30.9 deg, I 30; 2.888 Å, 31.0 deg, I 27; 2.819 Å, 31.7 deg, I 32; 2.765 Å, 32.4 deg, I 33; 2.488 Å, 36.1 deg, I 21; 2.422 Å, 37.1 deg, I 17; 1.901 Å, 47.8 deg, I 24; 1.791 Å, 51.0 deg, I 16

Structural model:
Cell: 4.858 4.986 6.080 Å, 111.49 109.57 93.43°
Element x y z (fractional)
Sr  0.000  0.000  0.000
Fe  0.640  0.653  0.373
Mo  0.273  0.284  0.623
O  0.388  0.005  0.396
O  0.401  0.414  0.994
O  0.572  0.602  0.687
O  0.974  0.374  0.400
O  0.990  0.985  0.610

[7]
Theoretical X-ray powder pattern of MgFe6O10F2 for a wavelength of 1.5418 Å, from a cell relaxed with PBE+U.
Lines closer than 0.1° are merged.

The 10 most intense peaks (2θ from 5° to 70°), low angle first:
3.678 Å, 24.2 deg, I 100; 3.371 Å, 26.4 deg, I 89; 2.552 Å, 35.2 deg, I 49; 2.526 Å, 35.5 deg, I 27; 2.513 Å, 35.7 deg, I 20; 2.500 Å, 35.9 deg, I 20; 1.841 Å, 49.5 deg, I 25; 1.817 Å, 50.2 deg, I 16; 1.717 Å, 53.3 deg, I 17; 1.464 Å, 63.5 deg, I 19

Structural model:
Cell: 5.122 5.697 7.589 Å, 81.44 87.37 85.34°
Element x y z (fractional)
Mg  0.000  0.000  0.000
Fe  0.008  0.614  0.809
Fe  0.466  0.113  0.806
Fe  0.530  0.874  0.191
Fe  0.536  0.525  0.519
Fe  0.963  0.368  0.187
Fe  0.990  0.990  0.505
O  0.157  0.945  0.751
O  0.324  0.447  0.729
O  0.324  0.812  0.409
O  0.325  0.128  0.069
O  0.673  0.555  0.277
O  0.679  0.855  0.950
O  0.686  0.203  0.592
O  0.810  0.704  0.600
O  0.842  0.040  0.258
O  0.868  0.348  0.948
F  0.156  0.655  0.074
F  0.166  0.301  0.405

[8]
Theoretical X-ray powder pattern of SmFeO3 for a wavelength of 1.5418 Å, from a cell relaxed with PBE+U.
Lines closer than 0.1° are merged.

The 7 most intense peaks (2θ from 5° to 70°), low angle first:
3.909 Å, 22.7 deg, I 17; 2.764 Å, 32.4 deg, I 100; 2.257 Å, 39.9 deg, I 20; 1.955 Å, 46.5 deg, I 32; 1.748 Å, 52.3 deg, I 9; 1.596 Å, 57.8 deg, I 38; 1.382 Å, 67.8 deg, I 19

Structural model:
Cell: 3.909 3.909 3.909 Å, 90.00 90.00 90.00°
Element x y z (fractional)
Sm  0.000  0.000  0.000
Fe  0.500  0.500  0.500
O  0.000  0.500  0.500
O  0.500  0.000  0.500
O  0.500  0.500  0.000

[9]
Theoretical X-ray powder pattern of MnP2O7 for a wavelength of 1.5418 Å, from a cell relaxed with PBE+U.
Lines closer than 0.1° are merged.

The 10 most intense peaks (2θ from 5° to 70°), low angle first:
5.803 Å, 15.3 deg, I 66; 4.000 Å, 22.2 deg, I 15; 3.966 Å, 22.4 deg, I 55; 3.930 Å, 22.6 deg, I 63; 3.719 Å, 23.9 deg, I 100; 2.805 Å, 31.9 deg, I 32; 2.730 Å, 32.8 deg, I 19; 2.504 Å, 35.9 deg, I 25; 2.115 Å, 42.7 deg, I 15; 1.859 Å, 49.0 deg, I 11

Structural model:
Cell: 5.017 6.309 8.462 Å, 110.34 90.15 92.95°
Element x y z (fractional)
Mn  0.239  0.292  0.227
Mn  0.761  0.708  0.773
P  0.219  0.357  0.638
P  0.295  0.063  0.843
P  0.705  0.937  0.157
P  0.781  0.643  0.362
O  0.062  0.574  0.297
O  0.098  0.866  0.828
O  0.236  0.275  0.448
O  0.254  0.281  0.994
O  0.258  0.128  0.677
O  0.415  0.009  0.159
O  0.434  0.533  0.734
O  0.566  0.467  0.266
O  0.585  0.991  0.841
O  0.742  0.872  0.323
O  0.746  0.719  0.006
O  0.764  0.725  0.552
O  0.902  0.134  0.172
O  0.938  0.426  0.703

[10]
Theoretical X-ray powder pattern of Li4Cr3Fe3Sn2O16 for a wavelength of 1.5418 Å, from a cell relaxed with PBE+U.
Lines closer than 0.1° are merged.

The 10 most intense peaks (2θ from 5° to 70°), low angle first:
4.493 Å, 19.8 deg, I 100; 4.475 Å, 19.8 deg, I 88; 3.508 Å, 25.4 deg, I 29; 3.491 Å, 25.5 deg, I 30; 2.729 Å, 32.8 deg, I 40; 2.717 Å, 33.0 deg, I 40; 2.510 Å, 35.8 deg, I 35; 2.496 Å, 36.0 deg, I 71; 2.445 Å, 36.8 deg, I 50; 1.462 Å, 63.7 deg, I 32

Structural model:
Cell: 5.846 5.846 9.696 Å, 90.36 90.36 59.76°
Element x y z (fractional)
Li  0.000  0.000  0.000
Li  0.000  0.000  0.498
Li  0.330  0.330  0.397
Li  0.663  0.663  0.897
Cr  0.170  0.658  0.720
Cr  0.658  0.170  0.720
Cr  0.830  0.830  0.220
Fe  0.168  0.168  0.720
Fe  0.343  0.824  0.220
Fe  0.824  0.343  0.220
Sn  0.330  0.330  0.998
Sn  0.666  0.666  0.497
O  0.001  0.001  0.814
O  0.004  0.004  0.311
O  0.030  0.477  0.838
O  0.155  0.155  0.112
O  0.161  0.681  0.107
O  0.316  0.843  0.608
O  0.329  0.329  0.613
O  0.477  0.030  0.838
O  0.482  0.482  0.842
O  0.510  0.964  0.337
O  0.514  0.514  0.339
O  0.663  0.663  0.115
O  0.681  0.161  0.107
O  0.841  0.841  0.605
O  0.843  0.316  0.608
O  0.964  0.510  0.337